# 1
P2W5O19: computed powder XRD pattern (Cu Kα, 1.54184 Å), based on a cell relaxed with GGA+U.

Atomic structure:
```
data_P2W5O19
_symmetry_space_group_name_H-M 'P 1 21 1'
_symmetry_Int_Tables_number 4
_symmetry_space_group_name_Hall 'P 2yb'
_cell_length_a 6.731
_cell_length_b 5.401
_cell_length_c 21.058
_cell_angle_alpha 90.00
_cell_angle_beta 95.98
_cell_angle_gamma 90.00
loop_
_atom_site_label
_atom_site_type_symbol
_atom_site_fract_x
_atom_site_fract_y
_atom_site_fract_z
_atom_site_occupancy
P1 P 0.214 0.000 0.235 1
P2 P 0.251 0.015 0.660 1
W1 W 0.106 0.003 0.815 1
W2 W 0.148 0.509 0.460 1
W3 W 0.179 0.503 0.036 1
W4 W 0.466 0.006 0.391 1
W5 W 0.468 0.502 0.888 1
O1 O 0.010 0.767 0.002 1
O2 O 0.014 0.766 0.496 1
O3 O 0.032 0.506 0.113 1
O4 O 0.048 0.006 0.621 1
O5 O 0.077 0.227 0.221 1
O6 O 0.093 0.757 0.226 1
O7 O 0.219 0.993 0.731 1
O8 O 0.277 0.263 0.843 1
O9 O 0.291 0.237 0.423 1
O10 O 0.293 0.765 0.847 1
O11 O 0.305 0.017 0.305 1
O12 O 0.319 0.743 0.415 1
O13 O 0.321 0.502 0.960 1
O14 O 0.350 0.241 0.075 1
O15 O 0.354 0.266 0.651 1
O16 O 0.356 0.505 0.536 1
O17 O 0.369 0.739 0.078 1
O18 O 0.383 0.797 0.644 1
O19 O 0.384 0.001 0.191 1
```

Main lines, in order of rising 2θ (5 to 70 degrees two-theta):
2theta	d/Å	I (rel.)	(hkl)
8.44	10.472	76	0 0 2
20.42	4.350	64	1 0 -4
21.28	4.174	58	1 1 -1
21.84	4.070	95	1 1 1
22.27	3.992	51	1 1 -2
23.31	3.816	100	1 1 2
23.86	3.730	56	1 0 -5
25.44	3.501	58	1 1 3
33.19	2.699	73	0 2 0
34.26	2.617	90	0 1 7

***

# 2
BaCo2P2O7: computed powder XRD pattern (Cu Kα, 1.54184 Å), based on a cell relaxed with GGA+U.

Atomic structure:
```
data_BaCo2P2O7
_symmetry_space_group_name_H-M 'R 3 2'
_symmetry_Int_Tables_number 155
_symmetry_space_group_name_Hall 'R 3 2"'
_cell_length_a 5.5293
_cell_length_b 5.5293
_cell_length_c 22.7095
_cell_angle_alpha 90.00
_cell_angle_beta 90.00
_cell_angle_gamma 120.00
loop_
_atom_site_label
_atom_site_type_symbol
_atom_site_fract_x
_atom_site_fract_y
_atom_site_fract_z
_atom_site_occupancy
Ba1 Ba 0.0000 0.0000 0.0000 1
Co1 Co 0.0000 0.0000 0.2430 1
P1 P 0.0000 0.0000 0.4298 1
O1 O 0.0000 0.0000 0.5000 1
O2 O 0.0198 0.2749 0.4098 1
```

Main lines, in order of rising 2θ (5 to 70 degrees two-theta):
2theta	d/Å	I (rel.)	(hkl)
11.69	7.570	26	0 0 3
24.32	3.660	100	1 0 4
27.06	3.295	54	0 1 5
32.38	2.765	73	1 1 0
36.81	2.442	24	0 1 8
40.91	2.206	29	0 2 4
48.87	1.864	23	1 1 9
53.11	1.724	28	2 1 4
57.76	1.596	20	3 0 0
59.16	1.562	22	1 1 12

***

What did the first record say?
P2W5O19: computed powder XRD pattern (Cu Kα, 1.54184 Å), based on a cell relaxed with GGA+U.

Atomic structure:
```
data_P2W5O19
_symmetry_space_group_name_H-M 'P 1 21 1'
_symmetry_Int_Tables_number 4
_symmetry_space_group_name_Hall 'P 2yb'
_cell_length_a 6.731
_cell_length_b 5.401
_cell_length_c 21.058
_cell_angle_alpha 90.00
_cell_angle_beta 95.98
_cell_angle_gamma 90.00
loop_
_atom_site_label
_atom_site_type_symbol
_atom_site_fract_x
_atom_site_fract_y
_atom_site_fract_z
_atom_site_occupancy
P1 P 0.214 0.000 0.235 1
P2 P 0.251 0.015 0.660 1
W1 W 0.106 0.003 0.815 1
W2 W 0.148 0.509 0.460 1
W3 W 0.179 0.503 0.036 1
W4 W 0.466 0.006 0.391 1
W5 W 0.468 0.502 0.888 1
O1 O 0.010 0.767 0.002 1
O2 O 0.014 0.766 0.496 1
O3 O 0.032 0.506 0.113 1
O4 O 0.048 0.006 0.621 1
O5 O 0.077 0.227 0.221 1
O6 O 0.093 0.757 0.226 1
O7 O 0.219 0.993 0.731 1
O8 O 0.277 0.263 0.843 1
O9 O 0.291 0.237 0.423 1
O10 O 0.293 0.765 0.847 1
O11 O 0.305 0.017 0.305 1
O12 O 0.319 0.743 0.415 1
O13 O 0.321 0.502 0.960 1
O14 O 0.350 0.241 0.075 1
O15 O 0.354 0.266 0.651 1
O16 O 0.356 0.505 0.536 1
O17 O 0.369 0.739 0.078 1
O18 O 0.383 0.797 0.644 1
O19 O 0.384 0.001 0.191 1
```

Main lines, in order of rising 2θ (5 to 70 degrees two-theta):
2theta	d/Å	I (rel.)	(hkl)
8.44	10.472	76	0 0 2
20.42	4.350	64	1 0 -4
21.28	4.174	58	1 1 -1
21.84	4.070	95	1 1 1
22.27	3.992	51	1 1 -2
23.31	3.816	100	1 1 2
23.86	3.730	56	1 0 -5
25.44	3.501	58	1 1 3
33.19	2.699	73	0 2 0
34.26	2.617	90	0 1 7